Structure and simulated PXRD pattern of NaCuAgSn (a cell relaxed with PBE; Cu Kα (weighted mean of Kα1 and Kα2)).

Top 10 peaks for 15° ≤ 2θ ≤ 90°, by intensity:
(2 2 0), 2θ = 37.70°, I = 100
(4 2 2), 2θ = 68.06°, I = 34
(1 1 1), 2θ = 22.82°, I = 25
(4 0 0), 2θ = 54.38°, I = 17
(3 1 1), 2θ = 44.53°, I = 13
(4 4 0), 2θ = 80.51°, I = 11
(3 3 1), 2θ = 59.73°, I = 6
(5 3 1), 2θ = 85.03°, I = 5
(5 1 1), 2θ = 72.82°, I = 5
(2 0 0), 2θ = 26.41°, I = 2

```
data_NaCuAgSn
_cell_length_a 6.7487
_cell_length_b 6.7487
_cell_length_c 6.7487
_cell_angle_alpha 90.00
_cell_angle_beta 90.00
_cell_angle_gamma 90.00
_symmetry_space_group_name_H-M 'F -4 3 m'
_symmetry_Int_Tables_number 216
_symmetry_space_group_name_Hall 'F -4 2 3'
loop_
_atom_site_label
_atom_site_fract_x
_atom_site_fract_y
_atom_site_fract_z
Na1 0.0000 0.0000 0.0000
Cu1 0.2500 0.2500 0.2500
Ag1 0.2500 0.2500 0.7500
Sn1 0.0000 0.0000 0.5000
```

=====

Structure and simulated PXRD pattern of ZrTc2Rh (a cell relaxed with PBE; Cu Kα (weighted mean of Kα1 and Kα2)).

Top 12 peaks for 15° ≤ 2θ ≤ 90°, by intensity:
(1 1 0), 2θ = 39.16°, I = 100
(0 1 2), 2θ = 38.22°, I = 97
(1 0 2), 2θ = 44.46°, I = 63
(2 0 0), 2θ = 65.92°, I = 48
(0 2 0), 2θ = 46.02°, I = 31
(2 1 2), 2θ = 78.89°, I = 22
(1 1 4), 2θ = 77.09°, I = 17
(1 3 0), 2θ = 80.55°, I = 12
(0 0 1), 2θ = 15.09°, I = 11
(0 3 2), 2θ = 79.96°, I = 11
(2 2 0), 2θ = 84.17°, I = 10
(0 0 4), 2θ = 63.38°, I = 8

```
data_ZrTc2Rh
_cell_length_a 2.8319
_cell_length_b 3.9443
_cell_length_c 5.8697
_cell_angle_alpha 90.00
_cell_angle_beta 90.00
_cell_angle_gamma 90.00
_symmetry_space_group_name_H-M 'P m m m'
_symmetry_Int_Tables_number 47
_symmetry_space_group_name_Hall '-P 2 2'
loop_
_atom_site_label
_atom_site_fract_x
_atom_site_fract_y
_atom_site_fract_z
Zr1 0.0000 0.0000 0.0000
Tc1 0.5000 0.5000 0.2851
Rh1 0.0000 0.0000 0.5000
```

=====

Structure and simulated PXRD pattern of La2Ga10Ni (a cell relaxed with PBE; Cu Kα (weighted mean of Kα1 and Kα2)).

Top 12 peaks for 15° ≤ 2θ ≤ 90°, by intensity:
(2 0 0), 2θ = 41.23°, I = 100
(1 1 4), 2θ = 31.92°, I = 96
(1 0 7), 2θ = 31.31°, I = 81
(1 1 6), 2θ = 35.45°, I = 46
(1 1 10), 2θ = 45.14°, I = 39
(2 1 7), 2θ = 52.66°, I = 37
(2 2 0), 2θ = 59.72°, I = 33
(1 0 13), 2θ = 49.49°, I = 21
(3 1 4), 2θ = 69.33°, I = 20
(1 0 11), 2θ = 42.98°, I = 20
(0 0 20), 2θ = 71.44°, I = 18
(2 0 20), 2θ = 86.02°, I = 17

```
data_La2Ga10Ni
_cell_length_a 4.3793
_cell_length_b 4.3793
_cell_length_c 26.3919
_cell_angle_alpha 90.00
_cell_angle_beta 90.00
_cell_angle_gamma 90.00
_symmetry_space_group_name_H-M 'I 4/m m m'
_symmetry_Int_Tables_number 139
_symmetry_space_group_name_Hall '-I 4 2'
loop_
_atom_site_label
_atom_site_fract_x
_atom_site_fract_y
_atom_site_fract_z
La1 0.0000 0.0000 0.1429
Ga1 0.0000 0.0000 0.3038
Ga2 0.0000 0.0000 0.3967
Ga3 0.0000 0.5000 0.0485
Ga4 0.0000 0.5000 0.2500
Ni1 0.0000 0.0000 0.0000
```

=====

Structure and simulated PXRD pattern of Mg2Si (a cell relaxed with PBE; Cu Kα (weighted mean of Kα1 and Kα2)).

Top 12 peaks for 15° ≤ 2θ ≤ 90°, by intensity:
(2 0 2), 2θ = 35.53°, I = 100
(2 0 0), 2θ = 34.87°, I = 96
(2 2 0), 2θ = 45.68°, I = 81
(1 0 -2), 2θ = 34.59°, I = 73
(0 0 3), 2θ = 37.13°, I = 70
(1 2 2), 2θ = 38.12°, I = 68
(1 0 4), 2θ = 47.28°, I = 66
(0 2 2), 2θ = 37.89°, I = 63
(1 -2 2), 2θ = 38.66°, I = 60
(0 2 -2), 2θ = 38.32°, I = 58
(0 2 -1), 2θ = 31.43°, I = 57
(1 2 0), 2θ = 33.64°, I = 57

```
data_Mg2Si
_cell_length_a 5.4478
_cell_length_b 6.2178
_cell_length_c 7.6915
_cell_angle_alpha 89.25
_cell_angle_beta 70.83
_cell_angle_gamma 89.53
_symmetry_space_group_name_H-M 'P -1'
_symmetry_Int_Tables_number 2
_symmetry_space_group_name_Hall '-P 1'
loop_
_atom_site_label
_atom_site_fract_x
_atom_site_fract_y
_atom_site_fract_z
Mg1 0.1921 0.1220 0.1253
Mg2 0.2009 0.6252 0.0831
Mg3 0.2290 0.1297 0.5153
Mg4 0.2317 0.6245 0.5526
Si1 0.3497 0.9258 0.7912
Si2 0.3698 0.3244 0.7859
```